Entry 1:
Starting from a crystal structure in the Materials Project, relaxed with GGA-PBE, the powder diffraction line list of Mo3WSe2S6 was calculated for Cu Kα X-rays.
Peak positions follow from Bragg's law for the DFT cell and can differ from measured ones.

Main lines, in order of rising 2θ (5 to 70 degrees two-theta):
| 2theta | I (rel.) |
| --- | --- |
| 7.14 | 21.1 |
| 11.92 | 100.0 |
| 14.31 | 25.0 |
| 32.10 | 28.3 |
| 32.91 | 8.4 |
| 34.34 | 12.7 |
| 36.38 | 7.8 |
| 37.62 | 50.3 |
| 45.45 | 33.9 |
| 47.29 | 11.6 |
| 57.20 | 17.1 |
| 58.64 | 9.6 |

Atomic structure:
a b c (Å): 3.222 3.222 37.127
angles (deg): 90.00 90.00 120.00
Fractional coordinates of all 12 atoms:
Mo (0.000, 0.000, 0.000)
Mo (0.000, 0.000, 0.377)
Mo (0.667, 0.333, 0.812)
W (0.667, 0.333, 0.187)
Se (0.667, 0.333, 0.331)
Se (0.667, 0.333, 0.423)
S (0.000, 0.000, 0.145)
S (0.000, 0.000, 0.229)
S (0.000, 0.000, 0.770)
S (0.000, 0.000, 0.854)
S (0.667, 0.333, 0.042)
S (0.667, 0.333, 0.958)

---

Entry 2:
Starting from a crystal structure in the Materials Project, relaxed with GGA-PBE, the powder diffraction line list of Pr2MgTi2S2O5 was calculated for Cu Kα X-rays.
Peak positions follow from Bragg's law for the DFT cell and can differ from measured ones.

Main lines, in order of rising 2θ (5 to 70 degrees two-theta):
| 2theta | I (rel.) |
| --- | --- |
| 7.75 | 35.5 |
| 15.54 | 52.5 |
| 25.24 | 98.4 |
| 29.78 | 32.1 |
| 31.78 | 100.0 |
| 35.59 | 83.7 |
| 39.83 | 57.0 |
| 42.26 | 47.3 |
| 45.55 | 60.5 |
| 52.79 | 27.0 |
| 59.11 | 33.8 |
| 63.88 | 27.0 |

Atomic structure:
a b c (Å): 11.750 11.750 11.750
angles (deg): 160.49 160.49 27.73
Fractional coordinates of all 12 atoms:
Pr (0.165, 0.165, 0.000)
Pr (0.835, 0.835, 0.000)
Mg (0.000, 0.000, 0.000)
Ti (0.416, 0.416, 0.000)
Ti (0.584, 0.584, 0.000)
S (0.298, 0.298, 0.000)
S (0.702, 0.702, 0.000)
O (0.093, 0.593, 0.500)
O (0.407, 0.907, 0.500)
O (0.500, 0.500, 0.000)
O (0.593, 0.093, 0.500)
O (0.907, 0.407, 0.500)

---

Entry 3:
Starting from a crystal structure in the Materials Project, relaxed with GGA-PBE, the powder diffraction line list of LiCuF3 was calculated for Cu Kα X-rays.
Peak positions follow from Bragg's law for the DFT cell and can differ from measured ones.

Main lines, in order of rising 2θ (5 to 70 degrees two-theta):
| 2theta | I (rel.) |
| --- | --- |
| 20.21 | 100.0 |
| 24.05 | 95.7 |
| 25.47 | 76.8 |
| 31.65 | 26.6 |
| 32.76 | 18.4 |
| 35.45 | 48.5 |
| 40.23 | 19.2 |
| 41.05 | 18.3 |
| 49.25 | 18.5 |
| 50.13 | 55.4 |
| 51.66 | 47.2 |
| 63.47 | 46.8 |

Atomic structure:
a b c (Å): 8.761 5.092 5.092
angles (deg): 86.78 90.00 90.00
Fractional coordinates of all 20 atoms:
Li (0.000, 0.000, 0.000)
Li (0.000, 0.526, 0.954)
Li (0.000, 0.954, 0.526)
Li (0.500, 0.463, 0.463)
Cu (0.184, 0.474, 0.474)
Cu (0.332, 0.990, 0.990)
Cu (0.668, 0.990, 0.990)
Cu (0.816, 0.474, 0.474)
F (0.000, 0.293, 0.670)
F (0.000, 0.670, 0.293)
F (0.150, 0.803, 0.803)
F (0.159, 0.169, 0.169)
F (0.331, 0.287, 0.679)
F (0.331, 0.679, 0.287)
F (0.500, 0.171, 0.171)
F (0.500, 0.823, 0.823)
F (0.669, 0.287, 0.679)
F (0.669, 0.679, 0.287)
F (0.841, 0.169, 0.169)
F (0.850, 0.803, 0.803)

---

Entry 4:
Starting from a crystal structure in the Materials Project, relaxed with GGA-PBE, the powder diffraction line list of Gd3Ni19B10 was calculated for Cu Kα X-rays.
Peak positions follow from Bragg's law for the DFT cell and can differ from measured ones.

Main lines, in order of rising 2θ (5 to 70 degrees two-theta):
| 2theta | I (rel.) |
| --- | --- |
| 34.28 | 31.0 |
| 35.77 | 48.4 |
| 37.46 | 40.2 |
| 38.03 | 38.7 |
| 38.45 | 59.1 |
| 40.27 | 91.7 |
| 41.48 | 100.0 |
| 44.75 | 23.1 |
| 46.45 | 35.1 |
| 46.68 | 35.6 |
| 47.40 | 42.9 |
| 48.89 | 44.5 |

Atomic structure:
a b c (Å): 7.870 7.870 5.757
angles (deg): 91.17 91.17 67.18
Fractional coordinates of all 32 atoms:
Gd (0.000, 0.000, 0.000)
Gd (0.374, 0.374, 0.612)
Gd (0.626, 0.626, 0.388)
Ni (0.000, 0.000, 0.500)
Ni (0.045, 0.518, 0.301)
Ni (0.122, 0.621, 0.926)
Ni (0.163, 0.163, 0.702)
Ni (0.183, 0.183, 0.271)
Ni (0.229, 0.712, 0.301)
Ni (0.288, 0.771, 0.699)
Ni (0.378, 0.378, 0.124)
Ni (0.379, 0.878, 0.074)
Ni (0.482, 0.955, 0.699)
Ni (0.518, 0.045, 0.301)
Ni (0.621, 0.122, 0.926)
Ni (0.622, 0.622, 0.876)
Ni (0.712, 0.229, 0.301)
Ni (0.771, 0.288, 0.699)
Ni (0.817, 0.817, 0.729)
Ni (0.837, 0.837, 0.298)
Ni (0.878, 0.379, 0.074)
Ni (0.955, 0.482, 0.699)
B (0.064, 0.700, 0.569)
B (0.143, 0.348, 0.975)
B (0.300, 0.936, 0.431)
B (0.348, 0.143, 0.975)
B (0.383, 0.617, 0.000)
B (0.617, 0.383, 0.000)
B (0.652, 0.857, 0.025)
B (0.700, 0.064, 0.569)
B (0.857, 0.652, 0.025)
B (0.936, 0.300, 0.431)

---

Entry 5:
Starting from a crystal structure in the Materials Project, relaxed with GGA-PBE, the powder diffraction line list of Be2IrPd was calculated for Cu Kα X-rays.
Peak positions follow from Bragg's law for the DFT cell and can differ from measured ones.

Main lines, in order of rising 2θ (5 to 70 degrees two-theta):
| 2theta | I (rel.) |
| --- | --- |
| 27.46 | 15.0 |
| 31.82 | 100.0 |
| 45.61 | 87.2 |
| 54.07 | 7.7 |
| 56.68 | 26.2 |
| 66.48 | 14.2 |

Atomic structure:
a b c (Å): 3.978 3.978 3.978
angles (deg): 60.00 60.00 60.00
Fractional coordinates of all 4 atoms:
Be (0.250, 0.250, 0.250)
Be (0.750, 0.750, 0.750)
Ir (0.000, 0.000, 0.000)
Pd (0.500, 0.500, 0.500)

---

Entry 6:
Starting from a crystal structure in the Materials Project, relaxed with GGA-PBE, the powder diffraction line list of NbBr6N2 was calculated for Cu Kα X-rays.
Peak positions follow from Bragg's law for the DFT cell and can differ from measured ones.

Main lines, in order of rising 2θ (5 to 70 degrees two-theta):
| 2theta | I (rel.) |
| --- | --- |
| 14.51 | 47.2 |
| 16.77 | 83.4 |
| 27.99 | 13.2 |
| 29.26 | 94.9 |
| 33.91 | 100.0 |
| 38.06 | 40.9 |
| 44.52 | 13.9 |
| 48.71 | 67.9 |
| 51.10 | 10.4 |
| 51.88 | 20.9 |
| 57.84 | 36.3 |
| 60.68 | 22.5 |

Atomic structure:
a b c (Å): 7.477 7.477 7.477
angles (deg): 60.00 60.00 60.00
Fractional coordinates of all 9 atoms:
Nb (0.000, 0.000, 0.000)
Br (0.240, 0.240, 0.760)
Br (0.240, 0.760, 0.240)
Br (0.240, 0.760, 0.760)
Br (0.760, 0.240, 0.240)
Br (0.760, 0.240, 0.760)
Br (0.760, 0.760, 0.240)
N (0.250, 0.250, 0.250)
N (0.750, 0.750, 0.750)

---

Entry 7:
Starting from a crystal structure in the Materials Project, relaxed with GGA-PBE, the powder diffraction line list of Na7Ti11O24 was calculated for Cu Kα X-rays.
Peak positions follow from Bragg's law for the DFT cell and can differ from measured ones.

Main lines, in order of rising 2θ (5 to 70 degrees two-theta):
| 2theta | I (rel.) |
| --- | --- |
| 17.11 | 97.0 |
| 17.61 | 94.0 |
| 17.75 | 48.2 |
| 33.50 | 37.8 |
| 33.81 | 42.2 |
| 33.95 | 41.0 |
| 34.21 | 65.0 |
| 34.30 | 48.5 |
| 40.93 | 50.0 |
| 41.31 | 100.0 |
| 58.66 | 46.6 |
| 60.45 | 51.2 |

Atomic structure:
a b c (Å): 10.623 10.623 6.232
angles (deg): 106.09 106.09 120.12
Fractional coordinates of all 42 atoms:
Na (0.000, 0.000, 0.000)
Na (0.035, 0.711, 0.109)
Na (0.289, 0.965, 0.891)
Na (0.384, 0.384, 0.147)
Na (0.616, 0.616, 0.853)
Na (0.711, 0.035, 0.109)
Na (0.965, 0.289, 0.891)
Ti (0.000, 0.000, 0.500)
Ti (0.000, 0.500, 0.500)
Ti (0.170, 0.335, 0.520)
Ti (0.329, 0.671, 0.000)
Ti (0.330, 0.670, 0.500)
Ti (0.335, 0.170, 0.520)
Ti (0.500, 0.000, 0.500)
Ti (0.665, 0.830, 0.480)
Ti (0.670, 0.330, 0.500)
Ti (0.671, 0.329, 0.000)
Ti (0.830, 0.665, 0.480)
O (0.035, 0.885, 0.680)
O (0.103, 0.445, 0.746)
O (0.108, 0.435, 0.320)
O (0.115, 0.965, 0.320)
O (0.230, 0.230, 0.724)
O (0.236, 0.721, 0.723)
O (0.278, 0.278, 0.361)
O (0.279, 0.764, 0.277)
O (0.389, 0.592, 0.749)
O (0.408, 0.611, 0.251)
O (0.435, 0.108, 0.320)
O (0.445, 0.103, 0.746)
O (0.555, 0.897, 0.254)
O (0.565, 0.892, 0.680)
O (0.592, 0.389, 0.749)
O (0.611, 0.408, 0.251)
O (0.721, 0.236, 0.723)
O (0.722, 0.722, 0.639)
O (0.764, 0.279, 0.277)
O (0.770, 0.770, 0.276)
O (0.885, 0.035, 0.680)
O (0.892, 0.565, 0.680)
O (0.897, 0.555, 0.254)
O (0.965, 0.115, 0.320)

---

Entry 8:
Starting from a crystal structure in the Materials Project, relaxed with GGA-PBE, the powder diffraction line list of LiMg10AlH24 was calculated for Cu Kα X-rays.
Peak positions follow from Bragg's law for the DFT cell and can differ from measured ones.

Main lines, in order of rising 2θ (5 to 70 degrees two-theta):
| 2theta | I (rel.) |
| --- | --- |
| 28.09 | 57.5 |
| 28.25 | 54.4 |
| 36.09 | 100.0 |
| 40.23 | 16.6 |
| 40.29 | 16.6 |
| 55.07 | 32.1 |
| 55.26 | 31.1 |
| 58.06 | 7.0 |
| 58.43 | 6.8 |
| 62.01 | 5.9 |
| 65.80 | 8.3 |
| 69.46 | 14.6 |

Atomic structure:
a b c (Å): 4.477 8.980 8.967
angles (deg): 90.00 90.33 90.00
Fractional coordinates of all 36 atoms:
Li (0.000, 0.000, 0.000)
Mg (0.000, 0.324, 0.000)
Mg (0.000, 0.329, 0.500)
Mg (0.000, 0.663, 0.500)
Mg (0.000, 0.996, 0.500)
Mg (0.494, 0.831, 0.246)
Mg (0.497, 0.496, 0.252)
Mg (0.499, 0.160, 0.242)
Mg (0.501, 0.160, 0.758)
Mg (0.503, 0.496, 0.748)
Mg (0.506, 0.831, 0.754)
Al (0.000, 0.665, 0.000)
H (0.186, 0.515, 0.908)
H (0.191, 0.801, 0.907)
H (0.193, 0.498, 0.402)
H (0.195, 0.826, 0.401)
H (0.197, 0.168, 0.901)
H (0.199, 0.164, 0.400)
H (0.280, 0.659, 0.142)
H (0.301, 0.993, 0.653)
H (0.305, 0.332, 0.654)
H (0.305, 0.338, 0.149)
H (0.305, 0.991, 0.149)
H (0.314, 0.663, 0.656)
H (0.686, 0.663, 0.344)
H (0.695, 0.332, 0.346)
H (0.695, 0.338, 0.851)
H (0.695, 0.991, 0.851)
H (0.699, 0.993, 0.347)
H (0.720, 0.659, 0.858)
H (0.801, 0.164, 0.600)
H (0.803, 0.168, 0.099)
H (0.805, 0.826, 0.599)
H (0.807, 0.498, 0.598)
H (0.809, 0.801, 0.093)
H (0.814, 0.515, 0.092)